Computed powder diffractogram of Co7Ru2O12 for λ = 1.5418 Å (Cu Kα), from DFT lattice parameters and positions (PBE+U).
Kinematic intensities with the Lorentz-polarization factor, no thermal factor.

Principal peaks in the range 10° ≤ 2θ ≤ 90°, by angle:
2theta, I_rel, (hkl)
29.87, 73, 1 1 2
34.62, 51, 2 -1 1
34.81, 79, -1 2 1
35.36, 96, 1 2 0
35.90, 91, 2 1 -3
62.06, 100, 2 2 4

Structural model:
Unit cell a=5.983 b=5.988 c=13.132 alpha=102.22 beta=101.30 gamma=91.74
Space group P1 (No. 1)
Inequivalent atoms, fractional coordinates:
Co1 0.000 0.000 0.000 (multiplicity 1)
Co2 0.001 0.505 0.504 (multiplicity 1)
Co3 0.004 0.007 0.504 (multiplicity 1)
Co4 0.135 0.872 0.749 (multiplicity 1)
Co5 0.230 0.453 0.927 (multiplicity 1)
Co6 0.319 0.330 0.666 (multiplicity 1)
Co7 0.335 0.322 0.171 (multiplicity 1)
Co8 0.461 0.232 0.430 (multiplicity 1)
Co9 0.502 0.003 0.002 (multiplicity 1)
Co10 0.538 0.780 0.577 (multiplicity 1)
Co11 0.661 0.680 0.832 (multiplicity 1)
Co12 0.683 0.674 0.339 (multiplicity 1)
Co13 0.772 0.550 0.076 (multiplicity 1)
Co14 0.871 0.133 0.254 (multiplicity 1)
Ru1 0.175 0.684 0.329 (multiplicity 1)
Ru2 0.323 0.823 0.179 (multiplicity 1)
Ru3 0.677 0.183 0.824 (multiplicity 1)
Ru4 0.824 0.323 0.676 (multiplicity 1)
O1 0.077 0.102 0.660 (multiplicity 1)
O2 0.083 0.570 0.168 (multiplicity 1)
O3 0.085 0.545 0.670 (multiplicity 1)
O4 0.097 0.059 0.168 (multiplicity 1)
O5 0.226 0.255 0.514 (multiplicity 1)
O6 0.226 0.771 0.490 (multiplicity 1)
O7 0.252 0.222 0.008 (multiplicity 1)
O8 0.255 0.761 0.019 (multiplicity 1)
O9 0.410 0.445 0.334 (multiplicity 1)
O10 0.427 0.405 0.821 (multiplicity 1)
O11 0.432 0.919 0.340 (multiplicity 1)
O12 0.445 0.941 0.833 (multiplicity 1)
O13 0.551 0.101 0.664 (multiplicity 1)
O14 0.559 0.065 0.170 (multiplicity 1)
O15 0.565 0.593 0.176 (multiplicity 1)
O16 0.571 0.549 0.668 (multiplicity 1)
O17 0.748 0.779 0.994 (multiplicity 1)
O18 0.749 0.242 0.984 (multiplicity 1)
O19 0.776 0.240 0.517 (multiplicity 1)
O20 0.784 0.759 0.501 (multiplicity 1)
O21 0.901 0.941 0.832 (multiplicity 1)
O22 0.918 0.433 0.836 (multiplicity 1)
O23 0.938 0.449 0.338 (multiplicity 1)
O24 0.944 0.921 0.349 (multiplicity 1)